1.
Computed powder XRD pattern of MgV4SnO12 for Cu Kα, 1.54184 Å, from the PBE+U geometry in the Materials Project.
Kinematic intensities with the Lorentz-polarization factor, no thermal factor.

Top 10 peaks for 2θ from 10° to 90°, by angle:
d/Å  2θ (°)  I_rel
6.679  13.3  43
4.931  18.0  80
4.692  18.9  61
3.791  23.5  41
3.259  27.4  100
3.003  29.8  75
2.754  32.5  64
2.573  34.9  28
2.083  43.4  26
1.823  50.0  21

Crystal structure
```
18
Lattice="5.124 -4.692 0.000 5.124 4.692 0.000 -2.214 0.000 5.510" Properties=species:S:1:pos:R:3 pbc="T T T"
Mg 0.000 0.000 0.000
V 1.974 0.121 2.776
V 3.170 -1.639 0.027
V 6.059 0.121 2.733
V 4.864 -1.639 5.482
Sn 4.017 3.173 2.755
O 3.658 3.284 0.739
O 0.333 -0.028 2.157
O 2.481 1.760 2.966
O 4.375 3.284 4.770
O 3.013 -0.723 1.663
O 2.027 -0.688 4.326
O 5.553 1.760 2.543
O 3.597 -3.262 0.110
O 6.007 -0.688 1.184
O 5.020 -0.723 3.846
O 7.701 -0.028 3.352
O 4.437 -3.262 5.399
```

***

2.
Computed powder XRD pattern of Mg14VSnO16 for Cu Kα, 1.54184 Å, from the PBE+U geometry in the Materials Project.
Kinematic intensities with the Lorentz-polarization factor, no thermal factor.

Top 10 peaks for 2θ from 10° to 90°, by angle:
d/Å  2θ (°)  I_rel
6.144  14.4  24
4.345  20.4  15
3.562  25.0  17
3.078  29.0  20
2.514  35.7  37
2.186  41.3  52
2.172  41.6  100
1.541  60.0  59
1.536  60.3  29
1.257  75.7  27

Crystal structure
```
32
Lattice="8.689 0.000 0.000 0.000 8.689 0.000 0.000 0.000 4.372" Properties=species:S:1:pos:R:3 pbc="T T T"
Mg 0.000 2.171 0.000
Mg 0.000 4.345 2.186
Mg 0.000 6.518 0.000
Mg 2.093 4.345 0.000
Mg 2.137 2.137 2.186
Mg 2.137 6.552 2.186
Mg 2.171 0.000 0.000
Mg 4.345 0.000 2.186
Mg 4.345 2.093 0.000
Mg 4.345 6.596 0.000
Mg 6.518 0.000 0.000
Mg 6.552 2.137 2.186
Mg 6.552 6.552 2.186
Mg 6.596 4.345 0.000
V 0.000 0.000 2.186
Sn 4.345 4.345 2.186
O 0.000 0.000 0.000
O 0.000 2.183 2.186
O 0.000 4.345 0.000
O 0.000 6.506 2.186
O 1.985 4.345 2.186
O 2.172 2.172 0.000
O 2.172 6.517 0.000
O 2.183 0.000 2.186
O 4.345 0.000 0.000
O 4.345 1.985 2.186
O 4.345 4.345 0.000
O 4.345 6.704 2.186
O 6.506 0.000 2.186
O 6.517 2.172 0.000
O 6.517 6.517 0.000
O 6.704 4.345 2.186
```